Entry 1:
# Tm2Tc
Theoretical PXRD pattern, Cu Kα. Input: the PBE geometry in Alexandria.
Peak positions follow from Bragg's law for the DFT cell and can differ from measured ones.

Principal peaks in the range 10° ≤ 2θ ≤ 80°, in order of rising 2θ:
Position (°2θ), d (Å), I_rel
27.01, 3.301, 22
29.38, 3.040, 15
34.25, 2.618, 100
37.07, 2.425, 58
45.73, 1.984, 27
47.98, 1.896, 16
53.43, 1.715, 20
65.01, 1.435, 31
72.91, 1.297, 13
73.53, 1.288, 14

Cell and atoms:
Cell: 6.547 6.546 3.430 Å, 74.83 74.79 30.37°
Element x y z (fractional)
1 Tm 0.131 0.131 0.869
2 Tm 0.869 0.869 0.131
3 Tc 0.500 0.500 0.500

=====

Entry 2:
# TlCdIr
Theoretical PXRD pattern, Cu Kα. Input: the PBE geometry in Alexandria.
Peak positions follow from Bragg's law for the DFT cell and can differ from measured ones.

Principal peaks in the range 10° ≤ 2θ ≤ 80°, in order of rising 2θ:
Position (°2θ), d (Å), I_rel
21.86, 4.066, 10
28.26, 3.158, 22
36.01, 2.494, 90
38.34, 2.347, 100
48.31, 1.884, 32
53.62, 1.709, 28
58.45, 1.579, 10
67.82, 1.382, 28
69.34, 1.355, 18
72.09, 1.310, 31

Cell and atoms:
Cell: 4.695 4.695 3.158 Å, 90.00 90.00 120.00°
Element x y z (fractional)
1 Tl 0.000 0.000 0.000
2 Cd 0.667 0.333 0.498
3 Ir 0.333 0.667 0.997

=====

Entry 3:
# Pm3Ge3Au
Theoretical PXRD pattern, Cu Kα. Input: the PBE geometry in Alexandria.
Peak positions follow from Bragg's law for the DFT cell and can differ from measured ones.

Principal peaks in the range 10° ≤ 2θ ≤ 80°, in order of rising 2θ:
Position (°2θ), d (Å), I_rel
31.21, 2.866, 100
31.36, 2.853, 42
35.41, 2.535, 17
39.94, 2.257, 28
41.34, 2.184, 26
41.58, 2.172, 27
43.63, 2.074, 22
54.71, 1.678, 18
58.83, 1.570, 20
61.67, 1.504, 16

Cell and atoms:
Cell: 9.887 9.887 9.887 Å, 155.78 154.47 35.48°
Element x y z (fractional)
1 Pm 0.000 0.000 0.000
2 Pm 0.189 0.689 0.500
3 Pm 0.366 0.366 0.000
4 Ge 0.531 0.531 0.000
5 Ge 0.750 0.250 0.500
6 Ge 0.836 0.836 0.000
7 Au 0.617 0.117 0.500

=====

Entry 4:
# Ga4Rh
Theoretical PXRD pattern, Cu Kα. Input: the PBE geometry in Alexandria.
Peak positions follow from Bragg's law for the DFT cell and can differ from measured ones.

Principal peaks in the range 10° ≤ 2θ ≤ 80°, in order of rising 2θ:
Position (°2θ), d (Å), I_rel
24.95, 3.569, 24
32.51, 2.754, 30
37.19, 2.418, 69
38.20, 2.356, 37
39.94, 2.257, 32
42.33, 2.135, 100
45.11, 2.010, 46
45.30, 2.002, 23
48.95, 1.861, 23
73.38, 1.290, 22

Cell and atoms:
Cell: 5.048 5.048 6.574 Å, 90.00 90.00 90.00°
Element x y z (fractional)
1 Ga 0.107 0.255 0.341
2 Ga 0.245 0.393 0.841
3 Ga 0.255 0.893 0.659
4 Ga 0.393 0.755 0.159
5 Ga 0.607 0.245 0.159
6 Ga 0.745 0.107 0.659
7 Ga 0.755 0.607 0.841
8 Ga 0.893 0.745 0.341
9 Rh 0.000 0.000 0.000
10 Rh 0.500 0.500 0.500

=====

> Number 3 is which compound?

Pm3Ge3Au

=====

> Which formula does entry 3 have?

Pm3Ge3Au

=====

Repeat the third record exactly.
# Pm3Ge3Au
Theoretical PXRD pattern, Cu Kα. Input: the PBE geometry in Alexandria.
Peak positions follow from Bragg's law for the DFT cell and can differ from measured ones.

Principal peaks in the range 10° ≤ 2θ ≤ 80°, in order of rising 2θ:
Position (°2θ), d (Å), I_rel
31.21, 2.866, 100
31.36, 2.853, 42
35.41, 2.535, 17
39.94, 2.257, 28
41.34, 2.184, 26
41.58, 2.172, 27
43.63, 2.074, 22
54.71, 1.678, 18
58.83, 1.570, 20
61.67, 1.504, 16

Cell and atoms:
Cell: 9.887 9.887 9.887 Å, 155.78 154.47 35.48°
Element x y z (fractional)
1 Pm 0.000 0.000 0.000
2 Pm 0.189 0.689 0.500
3 Pm 0.366 0.366 0.000
4 Ge 0.531 0.531 0.000
5 Ge 0.750 0.250 0.500
6 Ge 0.836 0.836 0.000
7 Au 0.617 0.117 0.500